Entry 1:
For Hf2MnAl6, a PBE-relaxed structure gives the simulated powder diffractogram in this record (Cu Kα, 1.54184 Å).
Intensities are scaled so that the largest is 100.

Peak list (10 most intense, 10 to 90 degrees two-theta, in order of rising 2θ)
(hkl)	d_spacing	two_theta	I (rel.)
0 0 1	5.799	15.28	76
1 0 1	3.682	24.17	71
1 1 0	2.752	32.54	71
1 1 1	2.486	36.13	100
0 1 2	2.477	36.26	96
0 2 1	2.204	40.94	66
0 1 3	1.791	50.98	33
0 3 1	1.531	60.47	64
2 2 0	1.376	68.15	21
1 2 3	1.318	71.60	25

Structure:
```
data_Hf2MnAl6
_chemical_formula_sum 'Hf2 Mn1 Al6'
_symmetry_space_group_name_H-M 'P -3 m 1'
_symmetry_Int_Tables_number 164
_symmetry_space_group_name_Hall '-P 3 2"'
_cell_length_a 5.5039
_cell_length_b 5.5039
_cell_length_c 5.7995
_cell_angle_alpha 90.00
_cell_angle_beta 90.00
_cell_angle_gamma 120.00
loop_
_atom_site_label
_atom_site_fract_x
_atom_site_fract_y
_atom_site_fract_z
_atom_site_occupancy
Hf1 0.3333 0.6667 0.1138 1
Mn1 0.0000 0.0000 0.0000 1
Al1 0.1718 0.3436 0.6868 1
```

Entry 2:
For SmSc2Ga2, a PBE-relaxed structure gives the simulated powder diffractogram in this record (Cu Kα, 1.54184 Å).
Intensities are scaled so that the largest is 100.

Peak list (10 most intense, 10 to 90 degrees two-theta, in order of rising 2θ)
(hkl)	d_spacing	two_theta	I (rel.)
1 1 0	3.235	27.57	39
1 1 -2	2.858	31.30	87
0 1 3	2.774	32.28	100
1 1 2	2.733	32.77	72
2 0 0	2.531	35.47	30
2 0 -1	2.512	35.75	27
0 2 0	2.103	43.01	49
1 0 -5	2.092	43.26	32
2 1 2	1.973	46.01	39
1 2 -5	1.483	62.66	32

Structure:
```
data_SmSc2Ga2
_chemical_formula_sum 'Sm2 Sc4 Ga4'
_symmetry_space_group_name_H-M 'P 1 21/m 1'
_symmetry_Int_Tables_number 11
_symmetry_space_group_name_Hall '-P 2yb'
_cell_length_a 5.078
_cell_length_b 4.207
_cell_length_c 11.108
_cell_angle_alpha 90.00
_cell_angle_beta 94.63
_cell_angle_gamma 90.00
loop_
_atom_site_label
_atom_site_fract_x
_atom_site_fract_y
_atom_site_fract_z
_atom_site_occupancy
Sm1 0.185 0.250 0.244 1
Sc1 0.243 0.750 0.485 1
Sc2 0.351 0.250 0.891 1
Ga1 0.145 0.750 0.024 1
Ga2 0.279 0.250 0.646 1
```

Entry 3:
For BaZnSbF7, a PBE-relaxed structure gives the simulated powder diffractogram in this record (Cu Kα, 1.54184 Å).
Intensities are scaled so that the largest is 100.

Peak list (10 most intense, 10 to 90 degrees two-theta, in order of rising 2θ)
(hkl)	d_spacing	two_theta	I (rel.)
1 0 -2	3.948	22.52	13
1 2 -1	3.776	23.56	100
1 1 -2	3.714	23.96	22
1 0 2	3.619	24.60	36
1 1 2	3.433	25.95	53
0 1 3	3.169	28.16	35
2 0 0	2.899	30.85	26
0 2 4	2.261	39.87	13
2 1 3	2.052	44.14	20
3 2 -1	1.820	50.12	25

Structure:
```
data_BaZnSbF7
_chemical_formula_sum 'Ba4 Zn4 Sb4 F28'
_symmetry_space_group_name_H-M 'P 1 21/c 1'
_symmetry_Int_Tables_number 14
_symmetry_space_group_name_Hall '-P 2ybc'
_cell_length_a 5.821
_cell_length_b 10.956
_cell_length_c 9.969
_cell_angle_alpha 90.00
_cell_angle_beta 95.08
_cell_angle_gamma 90.00
loop_
_atom_site_label
_atom_site_fract_x
_atom_site_fract_y
_atom_site_fract_z
_atom_site_occupancy
Ba1 0.244 0.154 0.037 1
Zn1 0.197 0.644 0.798 1
Sb1 0.299 0.580 0.148 1
F1 0.033 0.691 0.235 1
F2 0.093 0.124 0.607 1
F3 0.114 0.569 0.621 1
F4 0.357 0.712 0.972 1
F5 0.358 0.019 0.364 1
F6 0.377 0.519 0.345 1
F7 0.479 0.732 0.227 1
```

Entry 4:
For Sm5Y2Ho5, a PBE-relaxed structure gives the simulated powder diffractogram in this record (Cu Kα, 1.54184 Å).
Intensities are scaled so that the largest is 100.

Peak list (10 most intense, 10 to 90 degrees two-theta, in order of rising 2θ)
(hkl)	d_spacing	two_theta	I (rel.)
1 1 -3	3.181	28.05	51
-1 1 1	2.961	30.18	100
1 1 4	2.951	30.29	68
1 2 0	2.921	30.60	42
1 2 2	2.876	31.09	42
0 1 5	2.737	32.72	34
1 0 4	2.706	33.10	60
0 1 -4	2.697	33.22	28
2 1 0	2.607	34.41	75
3 0 -1	1.564	59.06	25

Structure:
```
data_Sm5Y2Ho5
_chemical_formula_sum 'Sm5 Y2 Ho5'
_symmetry_space_group_name_H-M 'P -1'
_symmetry_Int_Tables_number 2
_symmetry_space_group_name_Hall '-P 1'
_cell_length_a 5.213
_cell_length_b 5.999
_cell_length_c 14.449
_cell_angle_alpha 79.44
_cell_angle_beta 89.96
_cell_angle_gamma 64.26
loop_
_atom_site_label
_atom_site_fract_x
_atom_site_fract_y
_atom_site_fract_z
_atom_site_occupancy
Sm1 0.000 0.000 0.000 1
Sm2 0.219 0.561 0.577 1
Sm3 0.337 0.325 0.830 1
Y1 0.355 0.290 0.287 1
Ho1 0.054 0.893 0.312 1
Ho2 0.325 0.350 0.064 1
Ho3 0.500 0.000 0.500 1
```

Entry 5:
For Th2Cu7, a PBE-relaxed structure gives the simulated powder diffractogram in this record (Cu Kα, 1.54184 Å).
Intensities are scaled so that the largest is 100.

Peak list (10 most intense, 10 to 90 degrees two-theta, in order of rising 2θ)
(hkl)	d_spacing	two_theta	I (rel.)
1 0 1	4.475	19.84	20
1 0 10	2.898	30.86	57
0 1 11	2.734	32.75	40
1 1 0	2.602	34.47	59
0 2 1	2.249	40.09	38
1 1 9	2.212	40.78	100
2 1 10	1.553	59.52	18
1 2 11	1.526	60.67	14
0 3 9	1.415	66.05	23
2 2 0	1.301	72.69	21

Structure:
```
data_Th2Cu7
_chemical_formula_sum 'Th12 Cu42'
_symmetry_space_group_name_H-M 'R -3 m'
_symmetry_Int_Tables_number 166
_symmetry_space_group_name_Hall '-R 3 2"'
_cell_length_a 5.2035
_cell_length_b 5.2035
_cell_length_c 37.8426
_cell_angle_alpha 90.00
_cell_angle_beta 90.00
_cell_angle_gamma 120.00
loop_
_atom_site_label
_atom_site_fract_x
_atom_site_fract_y
_atom_site_fract_z
_atom_site_occupancy
Th1 0.0000 0.0000 0.0509 1
Th2 0.0000 0.0000 0.1478 1
Cu1 0.0000 0.0000 0.2789 1
Cu2 0.0000 0.0000 0.3873 1
Cu3 0.0000 0.0000 0.5000 1
Cu4 0.0000 0.5000 0.0000 1
Cu5 0.0008 0.5004 0.1081 1
```

Entry 6:
For YTm2N3, a PBE-relaxed structure gives the simulated powder diffractogram in this record (Cu Kα, 1.54184 Å).
Intensities are scaled so that the largest is 100.

Peak list (10 most intense, 10 to 90 degrees two-theta, in order of rising 2θ)
(hkl)	d_spacing	two_theta	I (rel.)
1 0 1	5.706	15.53	4
1 1 1	3.694	24.09	3
1 1 2	3.137	28.45	2
2 1 0	2.799	31.97	100
2 0 3	2.424	37.08	74
4 0 0	1.714	53.45	50
4 1 3	1.462	63.65	44
4 2 0	1.400	66.84	17
4 0 6	1.212	78.98	8
6 1 0	1.112	87.74	19

Structure:
```
data_YTm2N3
_chemical_formula_sum 'Y4 Tm8 N12'
_symmetry_space_group_name_H-M 'P n m a'
_symmetry_Int_Tables_number 62
_symmetry_space_group_name_Hall '-P 2ac 2n'
_cell_length_a 6.858
_cell_length_b 4.848
_cell_length_c 10.287
_cell_angle_alpha 90.00
_cell_angle_beta 90.00
_cell_angle_gamma 90.00
loop_
_atom_site_label
_atom_site_fract_x
_atom_site_fract_y
_atom_site_fract_z
_atom_site_occupancy
Y1 0.126 0.250 0.084 1
Tm1 0.124 0.250 0.417 1
Tm2 0.125 0.250 0.749 1
N1 0.121 0.750 0.415 1
N2 0.125 0.750 0.751 1
N3 0.129 0.750 0.084 1
```

Entry 7:
For VCuGe, a PBE-relaxed structure gives the simulated powder diffractogram in this record (Cu Kα, 1.54184 Å).
Intensities are scaled so that the largest is 100.

Peak list (10 most intense, 10 to 90 degrees two-theta, in order of rising 2θ)
(hkl)	d_spacing	two_theta	I (rel.)
1 1 0	2.584	34.72	38
1 1 1	2.396	37.54	69
0 0 3	2.132	42.40	38
1 1 2	2.010	45.11	100
2 0 0	1.827	49.91	55
1 1 3	1.644	55.92	13
2 0 3	1.387	67.52	35
2 2 0	1.292	73.27	16
1 1 5	1.146	84.53	21
2 2 3	1.105	88.49	16

Structure:
```
data_VCuGe
_chemical_formula_sum 'V2 Cu2 Ge2'
_symmetry_space_group_name_H-M 'P 4/n m m'
_symmetry_Int_Tables_number 129
_cell_length_a 3.654
_cell_length_b 3.654
_cell_length_c 6.395
_cell_angle_alpha 90.00
_cell_angle_beta 90.00
_cell_angle_gamma 90.00
loop_
_symmetry_equiv_pos_as_xyz
'x,y,z'
'-x,-y,-z'
'-y+1/2,x,z'
'y+1/2,-x,-z'
'-x+1/2,-y+1/2,z'
'x+1/2,y+1/2,-z'
'y,-x+1/2,z'
'-y,x+1/2,-z'
'x+1/2,-y,-z'
'-x+1/2,y,z'
'-y,-x,-z'
'y,x,z'
'-x,y+1/2,-z'
'x,-y+1/2,z'
'y+1/2,x+1/2,-z'
'-y+1/2,-x+1/2,z'
loop_
_atom_site_label
_atom_site_fract_x
_atom_site_fract_y
_atom_site_fract_z
_atom_site_occupancy
V1 0.250 0.750 0.000 1
Cu1 0.250 0.250 0.308 1
Ge1 0.250 0.250 0.694 1
```

Entry 8:
For DyHo2Er, a PBE-relaxed structure gives the simulated powder diffractogram in this record (Cu Kα, 1.54184 Å).
Intensities are scaled so that the largest is 100.

Peak list (10 most intense, 10 to 90 degrees two-theta, in order of rising 2θ)
(hkl)	d_spacing	two_theta	I (rel.)
0 4 0	3.115	28.66	24
2 0 0	2.785	32.14	24
1 2 2	2.719	32.95	100
2 4 0	2.076	43.59	15
0 6 2	1.798	50.77	20
3 2 2	1.595	57.81	20
2 6 2	1.511	61.37	23
1 4 4	1.501	61.82	11
1 8 4	1.151	84.08	9
4 6 2	1.101	88.88	8

Structure:
```
data_DyHo2Er
_chemical_formula_sum 'Dy4 Ho8 Er4'
_symmetry_space_group_name_H-M 'A m a 2'
_symmetry_Int_Tables_number 40
_symmetry_space_group_name_Hall 'A 2 -2a'
_cell_length_a 5.570
_cell_length_b 12.445
_cell_length_c 7.202
_cell_angle_alpha 90.00
_cell_angle_beta 90.00
_cell_angle_gamma 90.00
loop_
_atom_site_label
_atom_site_fract_x
_atom_site_fract_y
_atom_site_fract_z
_atom_site_occupancy
Dy1 0.250 0.166 0.000 1
Ho1 0.250 0.166 0.500 1
Ho2 0.250 0.417 0.250 1
Er1 0.250 0.417 0.750 1
```

Entry 9:
For LaNd3In3, a PBE-relaxed structure gives the simulated powder diffractogram in this record (Cu Kα, 1.54184 Å).
Intensities are scaled so that the largest is 100.

Peak list (10 most intense, 10 to 90 degrees two-theta, in order of rising 2θ)
(hkl)	d_spacing	two_theta	I (rel.)
3 1 0	3.052	29.26	100
3 2 1	2.580	34.78	74
4 2 0	2.158	41.86	11
4 2 2	1.970	46.07	19
4 1 3	1.893	48.07	21
6 1 1	1.566	58.99	26
6 2 0	1.526	60.68	12
5 1 4	1.489	62.35	15
5 5 2	1.313	71.88	14
7 4 3	1.122	86.80	10

Structure:
```
data_LaNd3In3
_chemical_formula_sum 'La4 Nd12 In12'
_symmetry_space_group_name_H-M 'P 21 3'
_symmetry_Int_Tables_number 198
_symmetry_space_group_name_Hall 'P 2ac 2ab 3'
_cell_length_a 9.652
_cell_length_b 9.652
_cell_length_c 9.652
_cell_angle_alpha 90.00
_cell_angle_beta 90.00
_cell_angle_gamma 90.00
loop_
_atom_site_label
_atom_site_fract_x
_atom_site_fract_y
_atom_site_fract_z
_atom_site_occupancy
La1 0.074 0.426 0.574 1
Nd1 0.078 0.578 0.922 1
Nd2 0.176 0.824 0.324 1
Nd3 0.177 0.177 0.177 1
In1 0.001 0.254 0.879 1
```

Entry 10:
For Dy4Tm4Cd, a PBE-relaxed structure gives the simulated powder diffractogram in this record (Cu Kα, 1.54184 Å).
Intensities are scaled so that the largest is 100.

Peak list (10 most intense, 10 to 90 degrees two-theta, in order of rising 2θ)
(hkl)	d_spacing	two_theta	I (rel.)
3 0 1	2.834	31.57	100
0 0 2	2.463	36.48	17
3 3 0	2.449	36.69	33
3 3 2	1.737	52.70	24
6 0 0	1.732	52.86	12
3 0 3	1.484	62.60	14
6 3 1	1.478	62.89	28
6 0 2	1.417	65.93	12
6 3 3	1.127	86.33	12
9 0 1	1.124	86.59	6

Structure:
```
data_Dy4Tm4Cd
_chemical_formula_sum 'Dy8 Tm8 Cd2'
_symmetry_space_group_name_H-M 'I 4/m m m'
_symmetry_Int_Tables_number 139
_symmetry_space_group_name_Hall '-I 4 2'
_cell_length_a 10.392
_cell_length_b 10.392
_cell_length_c 4.926
_cell_angle_alpha 90.00
_cell_angle_beta 90.00
_cell_angle_gamma 90.00
loop_
_atom_site_label
_atom_site_fract_x
_atom_site_fract_y
_atom_site_fract_z
_atom_site_occupancy
Dy1 0.165 0.165 0.000 1
Tm1 0.000 0.333 0.500 1
Cd1 0.000 0.000 0.500 1
```

Entry 11:
For PmB2Pb2O6, a PBE-relaxed structure gives the simulated powder diffractogram in this record (Cu Kα, 1.54184 Å).
Intensities are scaled so that the largest is 100.

Peak list (10 most intense, 10 to 90 degrees two-theta, in order of rising 2θ)
(hkl)	d_spacing	two_theta	I (rel.)
1 0 1	3.882	22.91	100
0 1 2	2.996	29.83	75
1 1 0	2.548	35.22	37
0 2 1	2.130	42.44	26
2 0 2	1.941	46.81	18
1 1 3	1.859	48.99	32
1 0 4	1.852	49.21	16
2 1 1	1.634	56.30	23
3 -2 2	1.544	59.91	18
3 0 0	1.471	63.21	9

Structure:
```
data_PmB2Pb2O6
_chemical_formula_sum 'Pm1 B2 Pb2 O6'
_symmetry_space_group_name_H-M 'P -3'
_symmetry_Int_Tables_number 147
_symmetry_space_group_name_Hall '-P 3'
_cell_length_a 5.0959
_cell_length_b 5.0959
_cell_length_c 8.1589
_cell_angle_alpha 90.00
_cell_angle_beta 90.00
_cell_angle_gamma 120.00
loop_
_atom_site_label
_atom_site_fract_x
_atom_site_fract_y
_atom_site_fract_z
_atom_site_occupancy
Pm1 0.0000 0.0000 0.0000 1
B1 0.3333 0.6667 0.1779 1
Pb1 0.3333 0.6667 0.6459 1
O1 0.0595 0.3961 0.1767 1
```

Entry 12:
For ErTh2Cd4, a PBE-relaxed structure gives the simulated powder diffractogram in this record (Cu Kα, 1.54184 Å).
Intensities are scaled so that the largest is 100.

Peak list (10 most intense, 10 to 90 degrees two-theta, in order of rising 2θ)
(hkl)	d_spacing	two_theta	I (rel.)
1 0 1	4.876	18.19	10
1 0 3	3.613	24.64	9
1 1 2	3.283	27.16	25
1 1 4	2.630	34.09	100
2 0 0	2.574	34.86	52
2 2 0	1.820	50.13	18
2 0 6	1.807	50.52	10
2 0 8	1.530	60.52	14
3 1 4	1.497	62.01	35
2 2 8	1.315	71.78	9

Structure:
```
data_ErTh2Cd4
_chemical_formula_sum 'Er2 Th4 Cd8'
_symmetry_space_group_name_H-M 'I 4/m m m'
_symmetry_Int_Tables_number 139
_symmetry_space_group_name_Hall '-I 4 2'
_cell_length_a 5.147
_cell_length_b 5.147
_cell_length_c 15.221
_cell_angle_alpha 90.00
_cell_angle_beta 90.00
_cell_angle_gamma 90.00
loop_
_atom_site_label
_atom_site_fract_x
_atom_site_fract_y
_atom_site_fract_z
_atom_site_occupancy
Er1 0.000 0.000 0.000 1
Th1 0.000 0.000 0.255 1
Cd1 0.000 0.500 0.107 1
```